Theoretical powder X-ray diffraction pattern
Compound: CrAgO4
Radiation: a wavelength of 1.5418 Å
Structure: a cell relaxed with PBE+U
Lines closer than 0.1° are merged.

The 6 most intense peaks (10 to 80 degrees two-theta), in order of rising 2θ:
d [Å]	I (rel.)
4.779	55
3.992	37
2.892	100
2.870	32
2.571	41
1.996	28

Atomic structure:
```
12
Lattice="2.870 -4.313 0.000 2.870 4.313 0.000 0.000 0.000 7.264" Properties=species:S:1:pos:R:3 pbc="T T T"
Cr 2.870 2.978 5.448
Cr 2.870 -2.978 1.816
Ag 2.870 0.000 0.000
Ag 2.870 0.000 3.632
O 1.385 0.372 1.816
O 2.870 2.056 4.061
O 2.870 2.056 6.835
O 1.385 -0.372 5.448
O 4.355 0.372 1.816
O 2.870 -2.056 0.429
O 2.870 -2.056 3.203
O 4.355 -0.372 5.448
```